# 1
Computed PXRD pattern of Pu4NiAs8 for Cu Ka, from a DFT-relaxed cell (GGA-PBE, Alexandria).
Neutral-atom scattering factors, no anomalous dispersion.

Structural model:
abc: 4.072 4.157 15.782
angles: 90.00 90.00 90.00
Fractional positions:
Pu (0.000, 0.000, 0.000)
Pu (0.000, 0.500, 0.206)
Pu (0.500, 0.000, 0.489)
Pu (0.500, 0.500, 0.703)
Ni (0.000, 0.000, 0.789)
As (0.000, 0.000, 0.347)
As (0.000, 0.000, 0.643)
As (0.000, 0.500, 0.527)
As (0.000, 0.500, 0.859)
As (0.500, 0.000, 0.155)
As (0.500, 0.000, 0.860)
As (0.500, 0.500, 0.053)
As (0.500, 0.500, 0.347)

Top 10 peaks for 2θ = 10–80°, in order of falling intensity:
hkl 1 1 3, d 2.546, rel. 100; hkl 0 1 2, d 3.678, rel. 29; hkl 1 3 3, d 1.273, rel. 25; hkl 1 0 5, d 2.495, rel. 22; hkl 0 0 4, d 3.944, rel. 21; hkl 0 2 0, d 2.079, rel. 19; hkl 0 1 8, d 1.782, rel. 18; hkl 2 0 0, d 2.036, rel. 18; hkl 0 1 6, d 2.223, rel. 17; hkl 1 0 9, d 1.610, rel. 15

# 2
Computed PXRD pattern of Pu2Ni12As7 for Cu Ka, from a DFT-relaxed cell (GGA-PBE, Alexandria).
Neutral-atom scattering factors, no anomalous dispersion.

Structural model:
abc: 9.411 9.411 3.837
angles: 90.00 90.00 120.00
Fractional positions:
Pu (0.000, 0.000, 0.000)
Pu (0.333, 0.667, 0.500)
Ni (0.044, 0.288, 0.500)
Ni (0.102, 0.716, 0.000)
Ni (0.244, 0.956, 0.500)
Ni (0.284, 0.386, 0.000)
Ni (0.388, 0.180, 0.000)
Ni (0.550, 0.426, 0.500)
Ni (0.574, 0.124, 0.500)
Ni (0.614, 0.898, 0.000)
Ni (0.712, 0.756, 0.500)
Ni (0.792, 0.612, 0.000)
Ni (0.820, 0.208, 0.000)
Ni (0.876, 0.450, 0.500)
As (0.072, 0.452, 0.000)
As (0.259, 0.222, 0.500)
As (0.380, 0.928, 0.000)
As (0.548, 0.620, 0.000)
As (0.667, 0.333, 0.000)
As (0.778, 0.036, 0.500)
As (0.964, 0.741, 0.500)

Top 10 peaks for 2θ = 10–80°, in order of falling intensity:
hkl 2 1 1, d 2.402, rel. 100; hkl 1 4 0, d 1.778, rel. 25; hkl 2 0 1, d 2.794, rel. 22; hkl 0 0 2, d 1.919, rel. 22; hkl 1 4 2, d 1.304, rel. 21; hkl 3 2 1, d 1.681, rel. 19; hkl 3 0 0, d 2.717, rel. 18; hkl 3 1 1, d 1.948, rel. 15; hkl 2 2 0, d 2.353, rel. 11; hkl 1 1 0, d 4.705, rel. 11

# 3
Computed PXRD pattern of PuNi4As2 for Cu Ka, from a DFT-relaxed cell (GGA-PBE, Alexandria).
Neutral-atom scattering factors, no anomalous dispersion.

Structural model:
abc: 7.281 7.281 3.793
angles: 90.00 90.00 90.00
Fractional positions:
Pu (0.000, 0.000, 0.000)
Pu (0.500, 0.500, 0.500)
Ni (0.090, 0.349, 0.500)
Ni (0.151, 0.590, 0.000)
Ni (0.349, 0.090, 0.500)
Ni (0.410, 0.849, 0.000)
Ni (0.590, 0.151, 0.000)
Ni (0.651, 0.910, 0.500)
Ni (0.849, 0.410, 0.000)
Ni (0.910, 0.651, 0.500)
As (0.217, 0.783, 0.500)
As (0.283, 0.283, 0.000)
As (0.717, 0.717, 0.000)
As (0.783, 0.217, 0.500)

Top 10 peaks for 2θ = 10–80°, in order of falling intensity:
hkl 2 1 1, d 2.471, rel. 100; hkl 3 1 0, d 2.302, rel. 41; hkl 1 0 1, d 3.364, rel. 29; hkl 3 1 1, d 1.968, rel. 28; hkl 2 2 0, d 2.574, rel. 28; hkl 4 3 1, d 1.359, rel. 22; hkl 0 0 2, d 1.896, rel. 22; hkl 3 1 2, d 1.464, rel. 20; hkl 2 2 1, d 2.130, rel. 18; hkl 1 1 0, d 5.148, rel. 16